# 1
Calculated powder XRD pattern of Al3BC for a wavelength of 1.5418 Å, from the GGA-PBE geometry in the Materials Project.
Lines closer than 0.1° are merged.

Principal peaks in the range 2θ = 15–90°, most intense first:
- (1 1 0), 2θ 52.26, I = 100.0
- (1 0 1), 2θ 30.48, I = 99.6
- (1 0 3), 2θ 37.75, I = 78.5
- (1 0 2), 2θ 33.37, I = 67.7
- (1 0 4), 2θ 43.25, I = 55.4
- (1 1 6), 2θ 73.03, I = 50.0
- (1 0 5), 2θ 49.58, I = 40.6
- (0 0 6), 2θ 47.17, I = 31.8

Atomic structure:
```
Al3BC
1.0
3.5007 0.0000 0.0000
-1.7503 3.0317 0.0000
0.0000 0.0000 11.5612
Al B C
6 2 2
Cartesian
0.0000 0.0000 2.8903
0.0000 0.0000 8.6709
0.0000 2.0211 0.8744
0.0000 2.0211 4.9062
1.7503 1.0106 6.6550
1.7503 1.0106 10.6867
0.0000 0.0000 0.0000
0.0000 0.0000 5.7806
0.0000 2.0211 2.8903
1.7503 1.0106 8.6709
```

# 2
Calculated powder XRD pattern of Mg14FeC for a wavelength of 1.5418 Å, from the GGA-PBE geometry in the Materials Project.
Lines closer than 0.1° are merged.

Principal peaks in the range 2θ = 15–90°, most intense first:
- (2 0 2), 2θ 38.29, I = 100.0
- (0 0 4), 2θ 36.37, I = 25.9
- (2 0 0), 2θ 33.53, I = 24.5
- (2 2 4), 2θ 72.18, I = 18.1
- (2 0 6), 2θ 66.72, I = 17.6
- (2 2 0), 2θ 59.94, I = 16.4
- (2 0 4), 2θ 50.30, I = 14.6
- (4 0 2), 2θ 73.39, I = 12.8

Atomic structure:
```
Mg14FeC
1.0
6.1729 0.0000 0.0000
-3.0864 5.3459 0.0000
0.0000 0.0000 9.8802
Mg Fe C
14 1 1
Cartesian
0.0000 0.0000 2.4572
0.0000 0.0000 7.4231
-1.4741 2.7128 2.4824
-1.4741 2.7128 7.3978
1.5343 0.8858 4.9401
1.5465 0.8929 0.0000
1.4741 2.7128 2.4824
1.4741 2.7128 7.3978
0.0000 5.2661 2.4824
0.0000 5.2661 7.3978
4.6264 0.8929 0.0000
3.0864 3.5601 0.0000
4.6386 0.8858 4.9401
3.0864 3.5742 4.9401
0.0000 3.5639 0.0000
0.0000 3.5639 4.9401
```